Starting from the GGA-PBE geometry in OQMD, the X-ray powder pattern of Li4HfGaO6 was computed for Cu Kα, 1.54184 Å.

Structural model:
Cell: 5.171 8.975 5.104 Å, 90.00 109.48 90.00°
Space group C2 (No. 5)
Asymmetric unit:
Li 0.000 0.000 0.000 (multiplicity 2)
Li 0.000 0.151 0.500 (multiplicity 2)
Li 0.000 0.311 0.000 (multiplicity 2)
Li 0.000 0.637 0.000 (multiplicity 2)
Hf 0.000 0.817 0.500 (multiplicity 2)
Ga 0.000 0.485 0.500 (multiplicity 2)
O 0.233 0.647 0.740 (multiplicity 4)
O 0.241 0.480 0.264 (multiplicity 4)
O 0.245 0.327 0.739 (multiplicity 4)

Main lines, by intensity (10° ≤ 2θ ≤ 80°):
(0 0 1), 18.4 deg, I = 100
(1 1 0), 20.7 deg, I = 56
(2 0 -1), 35.2 deg, I = 55
(1 3 1), 42.9 deg, I = 50
(1 1 -1), 23.4 deg, I = 43
(0 2 0), 19.8 deg, I = 31
(0 2 1), 27.2 deg, I = 29
(2 0 0), 36.9 deg, I = 26
(2 0 -2), 43.1 deg, I = 25
(1 1 1), 31.8 deg, I = 19
(1 3 -2), 47.2 deg, I = 15
(3 3 -1), 62.2 deg, I = 15